[1]
Li6LaHg6: simulated X-ray powder pattern (Cu Kα, 1.54184 Å), based on DFT lattice parameters and positions (PBE).
Neutral-atom scattering factors, no anomalous dispersion.

Atomic structure:
```
13
Lattice="-2.7311 4.8122 5.0352 2.7311 -4.8122 5.0352 2.7311 4.8122 -5.0352" Properties=species:S:1:pos:R:3 pbc="T T T"
Li 1.3656 2.4061 -2.5176
Li 1.3656 -2.4061 2.5176
Li 0.0000 2.3544 0.0000
Li -1.3656 2.4061 2.5176
Li 1.3656 2.4061 2.5176
Li 0.0000 7.2700 0.0000
La 2.7311 0.0000 0.0000
Hg 0.0000 0.0000 1.7998
Hg 2.7311 3.2561 0.0000
Hg 2.7311 0.0000 3.4393
Hg 0.0000 4.8122 1.5959
Hg 0.0000 1.5561 5.0352
Hg 0.0000 0.0000 8.2706
```

Top 8 peaks for 10 to 90 degrees two-theta, sorted by position:
2θ/deg  I_rel
18.44  58.2
26.22  31.9
31.28  100.0
32.79  45.3
36.55  43.9
37.08  28.8
42.03  26.1
66.88  23.8

[2]
Li2LaNdHg4: simulated X-ray powder pattern (Cu Kα, 1.54184 Å), based on DFT lattice parameters and positions (PBE).
Neutral-atom scattering factors, no anomalous dispersion.

Atomic structure:
```
8
Lattice="2.5875 1.4939 8.5180 -2.5875 1.4939 8.5180 0.0000 -2.9878 8.5180" Properties=species:S:1:pos:R:3 pbc="T T T"
Li 0.0000 0.0000 6.3530
Li 0.0000 0.0000 19.2010
La 0.0000 0.0000 0.0000
Nd 0.0000 0.0000 12.7770
Hg 0.0000 0.0000 3.2111
Hg 0.0000 0.0000 9.6365
Hg 0.0000 0.0000 15.9175
Hg 0.0000 0.0000 22.3429
```

Top 8 peaks for 10 to 90 degrees two-theta, sorted by position:
2θ/deg  I_rel
21.01  22.7
24.26  51.8
34.48  100.0
34.67  99.0
49.70  36.1
61.65  18.7
62.01  37.3
62.14  18.6

[3]
Li2LaPm2Hg2: simulated X-ray powder pattern (Cu Kα, 1.54184 Å), based on DFT lattice parameters and positions (PBE).
Neutral-atom scattering factors, no anomalous dispersion.

Atomic structure:
```
7
Lattice="3.6525 0.0000 0.0000 -1.8263 3.1632 0.0000 0.0000 0.0000 17.5657" Properties=species:S:1:pos:R:3 pbc="T T T"
Li 0.0000 2.1088 1.0189
Li 1.8263 1.0544 16.5468
La 0.0000 0.0000 8.7829
Pm 0.0000 0.0000 3.7275
Pm 0.0000 0.0000 13.8382
Hg 0.0000 2.1088 6.1886
Hg 1.8263 1.0544 11.3771
```

Top 8 peaks for 10 to 90 degrees two-theta, sorted by position:
2θ/deg  I_rel
10.07  43.4
28.68  37.9
30.03  46.7
32.16  100.0
34.96  74.3
35.78  30.2
49.94  36.5
62.94  35.5